# PrV2NiO8
Theoretical X-ray powder pattern, copper Kα. Input: a structure optimized by DFT (PBE+U).

Most intense lines, 2θ = 10–90°, low angle first:
- 17.7 deg, I 100, (1 0 0)
- 23.0 deg, I 80, (1 0 1)
- 30.8 deg, I 98, (1 1 0)
- 34.5 deg, I 65, (0 1 2)
- 38.8 deg, I 21, (2 0 1)
- 43.1 deg, I 41, (1 1 2)
- 47.0 deg, I 40, (2 0 2)
- 57.2 deg, I 32, (1 2 2)

Structural model:
abc: 5.799 5.799 6.072
angles: 90.00 90.00 120.00
Fractional positions:
Pr 0.000 0.000 0.000
V 0.333 0.667 0.626
V 0.667 0.333 0.374
Ni 0.000 0.000 0.500
O 0.164 0.327 0.713
O 0.164 0.836 0.713
O 0.327 0.164 0.287
O 0.333 0.667 0.354
O 0.667 0.333 0.646
O 0.673 0.836 0.713
O 0.836 0.164 0.287
O 0.836 0.673 0.287